Starting from a cell relaxed with PBE+U, the XRD peak list of MgNiTe4O12 was calculated for Cu Kα (weighted mean of Kα1 and Kα2).
Kinematic intensities with the Lorentz-polarization factor, no thermal factor.

Peak list (12 most intense, 2θ from 10° to 90°, by angle)
two_theta	intensity	(hkl)
22.27	43	0 0 2
23.19	100	1 1 0
26.10	12	0 1 2
30.67	25	1 1 2
31.70	27	-1 1 2
32.07	28	0 2 0
32.99	20	1 -1 2
34.00	42	2 0 0
47.41	23	2 2 0
50.73	13	2 2 2
52.06	11	-2 2 2
52.12	20	1 3 0

```
18
Lattice="5.282 0.000 0.000 0.014 5.611 0.000 0.344 0.817 7.985" Properties=species:S:1:pos:R:3 pbc="T T T"
Mg 0.000 0.000 0.000
Ni 2.575 2.991 0.170
Te 2.725 5.402 2.178
Te 2.973 5.685 5.806
Te 5.202 2.498 1.693
Te 5.412 2.944 5.393
O 0.663 2.767 3.468
O 0.852 4.020 0.974
O 1.432 1.084 6.348
O 1.472 1.427 1.114
O 2.131 4.022 6.284
O 2.141 5.619 3.976
O 3.516 3.391 2.088
O 3.816 5.627 7.566
O 3.854 1.717 5.214
O 4.466 4.636 4.980
O 4.490 0.628 2.212
O 4.750 2.811 7.950
```